(1)
Starting from a crystal structure in Alexandria, relaxed with PBE, the powder diffraction line list of AlAuS2 was calculated for copper Kα.
Kinematic intensities with the Lorentz-polarization factor, no thermal factor.

Structural model:
Cell: 5.470 6.365 6.058 Å, 90.00 90.00 90.00°
Fractional coordinates of all 8 atoms:
1 Al 0.000 0.000 0.250
2 Al 0.000 0.000 0.750
3 Au 0.000 0.500 0.000
4 Au 0.000 0.500 0.500
5 S 0.229 0.187 0.000
6 S 0.229 0.813 0.500
7 S 0.771 0.187 0.500
8 S 0.771 0.813 0.000

Peak list (10 most intense, 2θ from 5° to 70°, in order of rising 2θ)
Position (°2θ)	d (Å)	I_rel
13.91	6.365	47
16.20	5.470	100
21.42	4.149	52
29.49	3.029	25
32.55	2.751	33
32.74	2.735	35
35.73	2.513	20
36.74	2.446	49
43.64	2.074	22
46.98	1.934	30



(2)
Starting from a crystal structure in Alexandria, relaxed with PBE, the powder diffraction line list of AlAuS2 was calculated for copper Kα.
Kinematic intensities with the Lorentz-polarization factor, no thermal factor.

Structural model:
Cell: 13.687 6.036 5.821 Å, 90.00 90.22 90.00°
Fractional coordinates of all 16 atoms:
1 Al 0.000 0.250 0.000
2 Al 0.000 0.750 0.000
3 Al 0.500 0.250 0.000
4 Al 0.500 0.750 0.000
5 Au 0.250 0.000 0.165
6 Au 0.250 0.500 0.835
7 Au 0.750 0.000 0.835
8 Au 0.750 0.500 0.165
9 S 0.082 0.500 0.779
10 S 0.083 0.000 0.222
11 S 0.417 0.500 0.778
12 S 0.418 0.000 0.221
13 S 0.582 0.000 0.779
14 S 0.583 0.500 0.222
15 S 0.917 0.000 0.778
16 S 0.918 0.500 0.221

Peak list (10 most intense, 2θ from 5° to 70°, in order of rising 2θ)
Position (°2θ)	d (Å)	I_rel
12.94	6.844	32
15.22	5.821	29
22.19	4.006	100
26.04	3.422	15
28.93	3.086	13
29.60	3.018	17
32.42	2.761	17
34.84	2.575	26
39.54	2.279	14
48.32	1.883	13



(3)
Starting from a crystal structure in Alexandria, relaxed with PBE, the powder diffraction line list of AlAuS2 was calculated for copper Kα.
Kinematic intensities with the Lorentz-polarization factor, no thermal factor.

Structural model:
Cell: 7.633 7.633 12.382 Å, 95.18 95.18 84.65°
Fractional coordinates of all 32 atoms:
1 Al 0.098 0.365 0.591
2 Al 0.144 0.742 0.883
3 Al 0.258 0.856 0.617
4 Al 0.365 0.098 0.091
5 Al 0.635 0.902 0.909
6 Al 0.742 0.144 0.383
7 Al 0.856 0.258 0.117
8 Al 0.902 0.635 0.409
9 Au 0.055 0.236 0.798
10 Au 0.236 0.055 0.298
11 Au 0.309 0.414 0.232
12 Au 0.414 0.309 0.732
13 Au 0.586 0.691 0.268
14 Au 0.691 0.586 0.768
15 Au 0.764 0.945 0.702
16 Au 0.945 0.764 0.202
17 S 0.003 0.473 0.243
18 S 0.068 0.932 0.750
19 S 0.101 0.230 0.016
20 S 0.184 0.609 0.501
21 S 0.230 0.101 0.516
22 S 0.385 0.615 0.750
23 S 0.391 0.816 0.999
24 S 0.473 0.003 0.743
25 S 0.527 0.997 0.257
26 S 0.609 0.184 0.001
27 S 0.615 0.385 0.250
28 S 0.770 0.899 0.484
29 S 0.816 0.391 0.499
30 S 0.899 0.770 0.984
31 S 0.932 0.068 0.250
32 S 0.997 0.527 0.757

Peak list (10 most intense, 2θ from 5° to 70°, in order of rising 2θ)
Position (°2θ)	d (Å)	I_rel
14.41	6.145	100
17.25	5.139	19
22.55	3.942	28
23.83	3.734	17
27.21	3.277	16
27.93	3.194	31
29.06	3.072	20
35.71	2.514	17
36.93	2.434	32
45.30	2.002	21



(4)
Starting from a crystal structure in Alexandria, relaxed with PBE, the powder diffraction line list of AlSbAu14 was calculated for copper Kα.
Kinematic intensities with the Lorentz-polarization factor, no thermal factor.

Structural model:
Cell: 9.356 5.967 5.967 Å, 62.15 90.00 90.00°
Fractional coordinates of all 16 atoms:
1 Al 0.000 0.000 0.000
2 Sb 0.000 0.502 0.502
3 Au 0.000 0.008 0.492
4 Au 0.000 0.492 0.008
5 Au 0.239 0.834 0.834
6 Au 0.247 0.321 0.839
7 Au 0.247 0.839 0.321
8 Au 0.258 0.332 0.332
9 Au 0.500 0.150 0.666
10 Au 0.500 0.159 0.159
11 Au 0.500 0.657 0.657
12 Au 0.500 0.666 0.150
13 Au 0.742 0.332 0.332
14 Au 0.753 0.321 0.839
15 Au 0.753 0.839 0.321
16 Au 0.761 0.834 0.834

Peak list (10 most intense, 2θ from 5° to 70°, in order of rising 2θ)
Position (°2θ)	d (Å)	I_rel
33.98	2.638	10
35.35	2.539	31
36.45	2.465	17
38.49	2.339	41
39.21	2.298	100
40.21	2.243	39
45.01	2.014	16
45.91	1.977	9
60.08	1.540	11
62.28	1.491	20



(5)
Starting from a crystal structure in Alexandria, relaxed with PBE, the powder diffraction line list of AlSbAu3 was calculated for copper Kα.
Kinematic intensities with the Lorentz-polarization factor, no thermal factor.

Structural model:
Cell: 3.413 5.687 10.365 Å, 90.00 90.00 90.00°
Fractional coordinates of all 10 atoms:
1 Al 0.250 0.250 0.038
2 Al 0.750 0.750 0.962
3 Sb 0.250 0.250 0.406
4 Sb 0.750 0.750 0.594
5 Au 0.250 0.001 0.827
6 Au 0.250 0.499 0.827
7 Au 0.250 0.750 0.367
8 Au 0.750 0.250 0.633
9 Au 0.750 0.501 0.173
10 Au 0.750 0.999 0.173

Peak list (10 most intense, 2θ from 5° to 70°, in order of rising 2θ)
Position (°2θ)	d (Å)	I_rel
17.11	5.182	16
31.39	2.850	100
32.66	2.742	35
34.62	2.591	16
37.03	2.428	15
41.11	2.196	45
42.28	2.138	76
53.72	1.706	16
54.98	1.670	17
69.81	1.347	19



(6)
Starting from a crystal structure in Alexandria, relaxed with PBE, the powder diffraction line list of AlSbAu2 was calculated for copper Kα.
Kinematic intensities with the Lorentz-polarization factor, no thermal factor.

Structural model:
Cell: 8.129 3.412 6.068 Å, 90.00 103.61 90.00°
Fractional coordinates of all 8 atoms:
1 Al 0.000 0.000 0.000
2 Al 0.500 0.500 0.000
3 Sb 0.000 0.500 0.500
4 Sb 0.500 0.000 0.500
5 Au 0.236 0.500 0.204
6 Au 0.264 0.000 0.796
7 Au 0.736 0.000 0.204
8 Au 0.764 0.500 0.796

Peak list (10 most intense, 2θ from 5° to 70°, in order of rising 2θ)
Position (°2θ)	d (Å)	I_rel
22.51	3.950	29
30.04	2.974	18
31.06	2.880	26
33.37	2.685	50
33.63	2.665	100
39.99	2.254	18
42.34	2.134	19
43.25	2.092	55
45.95	1.975	21
52.61	1.740	20



(7)
Starting from a crystal structure in Alexandria, relaxed with PBE, the powder diffraction line list of ScAlAu was calculated for copper Kα.
Kinematic intensities with the Lorentz-polarization factor, no thermal factor.

Structural model:
Cell: 7.179 7.179 7.555 Å, 90.00 90.00 120.00°
Fractional coordinates of all 18 atoms:
1 Sc 0.013 0.599 0.250
2 Sc 0.401 0.414 0.250
3 Sc 0.414 0.401 0.750
4 Sc 0.586 0.987 0.250
5 Sc 0.599 0.013 0.750
6 Sc 0.987 0.586 0.750
7 Al 0.000 0.257 0.000
8 Al 0.000 0.257 0.500
9 Al 0.257 0.000 0.000
10 Al 0.257 0.000 0.500
11 Al 0.743 0.743 0.000
12 Al 0.743 0.743 0.500
13 Au 0.000 0.000 0.250
14 Au 0.000 0.000 0.750
15 Au 0.333 0.667 0.517
16 Au 0.333 0.667 0.983
17 Au 0.667 0.333 0.017
18 Au 0.667 0.333 0.483

Peak list (10 most intense, 2θ from 5° to 70°, in order of rising 2θ)
Position (°2θ)	d (Å)	I_rel
24.80	3.590	100
27.63	3.228	68
34.47	2.602	23
37.47	2.400	68
43.68	2.072	42
45.46	1.995	52
50.88	1.795	19
54.93	1.671	21
67.04	1.396	21
69.25	1.357	16



(8)
Starting from a crystal structure in Alexandria, relaxed with PBE, the powder diffraction line list of Sc6Al3Au was calculated for copper Kα.
Kinematic intensities with the Lorentz-polarization factor, no thermal factor.

Structural model:
Cell: 8.388 4.839 10.738 Å, 90.00 109.06 90.00°
Fractional coordinates of all 20 atoms:
1 Sc 0.039 0.250 0.420
2 Sc 0.159 0.750 0.163
3 Sc 0.255 0.250 0.002
4 Sc 0.339 0.750 0.800
5 Sc 0.356 0.250 0.331
6 Sc 0.400 0.250 0.622
7 Sc 0.600 0.750 0.378
8 Sc 0.644 0.750 0.669
9 Sc 0.661 0.250 0.200
10 Sc 0.745 0.750 0.998
11 Sc 0.841 0.250 0.837
12 Sc 0.961 0.750 0.580
13 Al 0.026 0.750 0.870
14 Al 0.110 0.250 0.716
15 Al 0.271 0.750 0.469
16 Al 0.729 0.250 0.531
17 Al 0.890 0.750 0.284
18 Al 0.974 0.250 0.130
19 Au 0.462 0.750 0.110
20 Au 0.538 0.250 0.890

Peak list (10 most intense, 2θ from 5° to 70°, in order of rising 2θ)
Position (°2θ)	d (Å)	I_rel
8.71	10.149	51
11.16	7.929	55
16.28	5.445	21
21.81	4.075	21
25.42	3.504	30
35.22	2.548	29
37.12	2.422	100
37.21	2.417	60
52.13	1.754	18
66.99	1.397	20